This entry pairs a crystal structure of Ba4ZnBi3O12 with its theoretical X-ray powder pattern. Radiation: CuKα. Structure: a crystal structure in Alexandria, relaxed with GGA-PBE.
No peak broadening, texture or thermal motion is included.

Largest 8 diffraction maxima, sorted by position, 2θ = 10–90°:
d (Å)	I_rel
6.102	7
3.051	100
2.157	29
1.762	42
1.526	18
1.365	19
1.246	6
1.153	23

```
Ba4ZnBi3O12
1.0
-4.315 4.315 4.315
4.315 -4.315 4.315
4.315 4.315 -4.315
Ba Zn Bi O
4 1 3 12
direct
0.000 0.000 0.500
0.000 0.500 0.000
0.500 0.000 0.000
0.500 0.500 0.500
0.000 0.000 0.000
0.000 0.500 0.500
0.500 0.000 0.500
0.500 0.500 0.000
0.000 0.252 0.252
0.000 0.748 0.748
0.250 0.500 0.750
0.250 0.750 0.500
0.252 0.000 0.252
0.252 0.252 0.000
0.500 0.250 0.750
0.500 0.750 0.250
0.748 0.000 0.748
0.748 0.748 0.000
0.750 0.250 0.500
0.750 0.500 0.250
```

=====

This entry pairs a crystal structure of Ba3BiP with its theoretical X-ray powder pattern. Radiation: CuKα. Structure: a crystal structure in Alexandria, relaxed with GGA-PBE.
No peak broadening, texture or thermal motion is included.

Largest 8 diffraction maxima, sorted by position, 2θ = 10–90°:
d (Å)	I_rel
3.685	47
3.649	100
3.496	51
3.295	79
3.151	32
3.067	87
3.047	75
2.851	35

```
Ba3BiP
1.0
9.830 0.000 0.000
0.000 8.950 0.000
-1.829 0.000 9.741
Ba Bi P
12 4 4
direct
0.051 0.027 0.204
0.051 0.473 0.704
0.244 0.604 0.068
0.244 0.896 0.568
0.380 0.205 0.981
0.380 0.295 0.481
0.620 0.705 0.519
0.620 0.795 0.019
0.756 0.104 0.432
0.756 0.396 0.932
0.949 0.527 0.296
0.949 0.973 0.796
0.406 0.568 0.765
0.406 0.932 0.265
0.594 0.068 0.735
0.594 0.432 0.235
0.069 0.220 0.487
0.069 0.280 0.987
0.931 0.720 0.013
0.931 0.780 0.513
```

=====

This entry pairs a crystal structure of Ba8BiP4 with its theoretical X-ray powder pattern. Radiation: CuKα. Structure: a crystal structure in Alexandria, relaxed with GGA-PBE.
No peak broadening, texture or thermal motion is included.

Largest 8 diffraction maxima, sorted by position, 2θ = 10–90°:
d (Å)	I_rel
7.279	25
3.693	100
3.639	34
3.623	47
2.984	40
2.896	70
2.358	45
2.350	22

```
Ba8BiP4
1.0
8.184 -4.701 0.000
8.184 4.701 0.000
-7.871 0.000 8.390
Ba Bi P
8 1 4
direct
0.002 0.464 0.297
0.003 0.003 0.317
0.464 0.002 0.297
0.477 0.477 0.290
0.523 0.523 0.710
0.536 0.998 0.703
0.997 0.997 0.683
0.998 0.536 0.703
0.000 0.000 0.000
0.259 0.741 0.500
0.274 0.274 0.544
0.726 0.726 0.456
0.741 0.259 0.500
```

=====

This entry pairs a crystal structure of Ba6Bi2PSe with its theoretical X-ray powder pattern. Radiation: CuKα. Structure: a crystal structure in Alexandria, relaxed with GGA-PBE.
No peak broadening, texture or thermal motion is included.

Largest 8 diffraction maxima, sorted by position, 2θ = 10–90°:
d (Å)	I_rel
3.650	63
3.586	60
3.548	100
3.341	79
3.329	65
2.950	46
2.790	72
2.383	63

```
Ba6Bi2PSe
1.0
8.119 0.000 0.000
0.000 9.201 0.000
-8.113 0.000 11.992
Ba Bi P Se
12 4 2 2
direct
0.117 0.046 0.245
0.117 0.454 0.745
0.238 0.698 0.063
0.238 0.802 0.563
0.381 0.185 0.065
0.381 0.315 0.565
0.619 0.685 0.435
0.619 0.815 0.935
0.762 0.198 0.437
0.762 0.302 0.937
0.883 0.546 0.255
0.883 0.954 0.755
0.291 0.095 0.748
0.291 0.405 0.248
0.709 0.595 0.752
0.709 0.905 0.252
0.000 0.000 0.000
0.000 0.500 0.500
0.500 0.000 0.500
0.500 0.500 0.000
```